Diffraction record for AlV4W3. The XRD peak list is simulated, not measured: it uses a DFT-relaxed cell (GGA-PBE, Alexandria) and Cu Kα X-rays.

Most intense lines, 2θ from 5° to 70°, by angle:
| d [Å] | 2θ/deg | intensity |
| --- | --- | --- |
| 8.684 | 10.19 | 22 |
| 3.863 | 23.02 | 12 |
| 3.123 | 28.58 | 15 |
| 3.060 | 29.18 | 29 |
| 2.186 | 41.30 | 100 |
| 2.171 | 41.60 | 24 |
| 2.157 | 41.89 | 24 |
| 1.530 | 60.51 | 16 |

Structure:
```
AlV4W3
1.0
3.1233 0.0000 0.0000
0.0000 4.3131 0.0000
0.0000 0.0000 8.6840
Al V W
1 4 3
Direct
0.0000 0.0000 0.0000
0.5000 0.0000 0.2542
0.5000 0.0000 0.7458
0.5000 0.5000 0.0000
0.5000 0.5000 0.5000
0.0000 0.0000 0.5000
0.0000 0.5000 0.2425
0.0000 0.5000 0.7575
```

Diffraction record for AlV4W2. The XRD peak list is simulated, not measured: it uses a DFT-relaxed cell (GGA-PBE, Alexandria) and Cu Kα X-rays.

Most intense lines, 2θ from 5° to 70°, by angle:
| d [Å] | 2θ/deg | intensity |
| --- | --- | --- |
| 11.084 | 7.98 | 100 |
| 3.061 | 29.17 | 14 |
| 2.951 | 30.29 | 15 |
| 2.523 | 35.58 | 17 |
| 2.204 | 40.95 | 28 |
| 2.157 | 41.88 | 17 |
| 2.080 | 43.51 | 17 |
| 2.054 | 44.08 | 20 |

Structure:
```
AlV4W2
1.0
1.5346 -11.0840 0.0000
1.5346 11.0840 0.0000
0.0000 0.0000 3.0612
Al V W
1 4 2
Direct
0.0000 0.0000 0.0000
0.1321 0.8679 0.0000
0.4300 0.5700 0.5000
0.5700 0.4300 0.5000
0.8679 0.1321 0.0000
0.2985 0.7015 0.5000
0.7015 0.2985 0.5000
```

Diffraction record for AlV5W4. The XRD peak list is simulated, not measured: it uses a DFT-relaxed cell (GGA-PBE, Alexandria) and Cu Kα X-rays.

Most intense lines, 2θ from 5° to 70°, by angle:
| d [Å] | 2θ/deg | intensity |
| --- | --- | --- |
| 15.049 | 5.87 | 40 |
| 7.525 | 11.76 | 11 |
| 3.120 | 28.61 | 34 |
| 3.010 | 29.68 | 15 |
| 2.206 | 40.90 | 54 |
| 2.166 | 41.70 | 100 |
| 1.779 | 51.35 | 14 |
| 1.560 | 59.23 | 18 |

Structure:
```
AlV5W4
1.0
3.1201 0.0000 0.0000
0.0000 3.1201 0.0000
0.0000 0.0000 15.0493
Al V W
1 5 4
Direct
0.0000 0.0000 0.0000
0.5000 0.5000 0.1000
0.5000 0.5000 0.2973
0.5000 0.5000 0.5000
0.5000 0.5000 0.7027
0.5000 0.5000 0.9000
0.0000 0.0000 0.1936
0.0000 0.0000 0.3984
0.0000 0.0000 0.6016
0.0000 0.0000 0.8064
```

Diffraction record for AlV12Zn3. The XRD peak list is simulated, not measured: it uses a DFT-relaxed cell (GGA-PBE, Alexandria) and Cu Kα X-rays.

Most intense lines, 2θ from 5° to 70°, by angle:
| d [Å] | 2θ/deg | intensity |
| --- | --- | --- |
| 9.547 | 9.26 | 4 |
| 4.777 | 18.57 | 2 |
| 4.273 | 20.79 | 3 |
| 3.378 | 26.38 | 2 |
| 2.389 | 37.66 | 43 |
| 2.136 | 42.30 | 100 |
| 1.950 | 46.57 | 91 |
| 1.379 | 67.98 | 5 |

Structure:
```
AlV12Zn3
1.0
4.7770 0.0000 0.0000
0.0000 4.7812 0.0000
0.0000 0.0000 9.5469
Al V Zn
1 12 3
Direct
0.0000 0.0000 0.0000
0.0000 0.5000 0.1286
0.0000 0.5000 0.3790
0.0000 0.5000 0.6210
0.0000 0.5000 0.8714
0.2508 0.0000 0.2496
0.2508 0.0000 0.7504
0.5000 0.2500 0.0000
0.5000 0.2497 0.5000
0.5000 0.7500 0.0000
0.5000 0.7503 0.5000
0.7492 0.0000 0.2496
0.7492 0.0000 0.7504
0.0000 0.0000 0.5000
0.5000 0.5000 0.2502
0.5000 0.5000 0.7498
```

Diffraction record for AlV3Zn. The XRD peak list is simulated, not measured: it uses a DFT-relaxed cell (GGA-PBE, Alexandria) and Cu Kα X-rays.

Most intense lines, 2θ from 5° to 70°, by angle:
| d [Å] | 2θ/deg | intensity |
| --- | --- | --- |
| 6.147 | 14.41 | 37 |
| 2.373 | 37.92 | 49 |
| 2.282 | 39.48 | 84 |
| 2.204 | 40.94 | 100 |
| 2.164 | 41.73 | 92 |
| 2.055 | 44.06 | 56 |
| 1.973 | 46.01 | 50 |
| 1.858 | 49.02 | 37 |

Structure:
```
AlV3Zn
1.0
6.6593 -2.2804 0.0000
6.6593 2.2804 0.0000
-1.9793 0.0000 4.7488
Al V Zn
2 6 2
Direct
0.0318 0.0318 0.2819
0.9682 0.9682 0.7181
0.0000 0.5000 0.5000
0.4044 0.4044 0.4082
0.4045 0.4045 0.8996
0.5000 0.0000 0.5000
0.5955 0.5955 0.1004
0.5956 0.5956 0.5918
0.1965 0.1965 0.9468
0.8035 0.8035 0.0532
```

Diffraction record for AlV3Zn. The XRD peak list is simulated, not measured: it uses a DFT-relaxed cell (GGA-PBE, Alexandria) and Cu Kα X-rays.

Most intense lines, 2θ from 5° to 70°, by angle:
| d [Å] | 2θ/deg | intensity |
| --- | --- | --- |
| 3.330 | 26.77 | 17 |
| 3.247 | 27.47 | 19 |
| 2.325 | 38.73 | 38 |
| 2.138 | 42.26 | 100 |
| 2.128 | 42.49 | 46 |
| 2.065 | 43.85 | 27 |
| 1.929 | 47.10 | 40 |
| 1.482 | 62.70 | 17 |

Structure:
```
AlV3Zn
1.0
4.2555 0.0000 0.0000
0.0000 6.4942 0.0000
0.0000 0.0000 5.3496
Al V Zn
2 6 2
Direct
0.2500 0.2500 0.2324
0.7500 0.7500 0.7676
0.2500 0.0738 0.7050
0.2500 0.4262 0.7050
0.2500 0.7500 0.4872
0.7500 0.2500 0.5128
0.7500 0.5738 0.2950
0.7500 0.9262 0.2950
0.2500 0.7500 0.0216
0.7500 0.2500 0.9784
```

Diffraction record for Zr2Al2V15. The XRD peak list is simulated, not measured: it uses a DFT-relaxed cell (GGA-PBE, Alexandria) and Cu Kα X-rays.

Most intense lines, 2θ from 5° to 70°, by angle:
| d [Å] | 2θ/deg | intensity |
| --- | --- | --- |
| 3.030 | 29.48 | 18 |
| 2.600 | 34.49 | 34 |
| 2.413 | 37.26 | 20 |
| 2.252 | 40.04 | 48 |
| 2.195 | 41.12 | 100 |
| 2.048 | 44.23 | 27 |
| 1.973 | 45.99 | 36 |
| 1.410 | 66.31 | 19 |

Structure:
```
Zr2Al2V15
1.0
4.5041 2.6004 4.0956
-4.5041 2.6004 4.0956
0.0000 -5.2009 4.0956
Zr Al V
2 2 15
Direct
0.1526 0.1526 0.1526
0.8474 0.8474 0.8474
0.3938 0.3938 0.3938
0.6062 0.6062 0.6062
0.0000 0.5000 0.5000
0.1499 0.1499 0.6569
0.1499 0.6569 0.1499
0.1900 0.5000 0.8100
0.1900 0.8100 0.5000
0.3431 0.8501 0.8501
0.5000 0.0000 0.5000
0.5000 0.1900 0.8100
0.5000 0.5000 0.0000
0.5000 0.8100 0.1900
0.6569 0.1499 0.1499
0.8100 0.1900 0.5000
0.8100 0.5000 0.1900
0.8501 0.3431 0.8501
0.8501 0.8501 0.3431
```

Diffraction record for Al3W5. The XRD peak list is simulated, not measured: it uses a DFT-relaxed cell (GGA-PBE, Alexandria) and Cu Kα X-rays.

Most intense lines, 2θ from 5° to 70°, by angle:
| d [Å] | 2θ/deg | intensity |
| --- | --- | --- |
| 3.260 | 27.36 | 33 |
| 3.026 | 29.52 | 36 |
| 2.464 | 36.46 | 62 |
| 2.370 | 37.96 | 53 |
| 2.218 | 40.68 | 100 |
| 2.108 | 42.90 | 59 |
| 1.513 | 61.26 | 26 |
| 1.423 | 65.62 | 28 |

Structure:
```
Al3W5
1.0
7.5281 0.0000 0.0000
-3.7641 6.5195 0.0000
0.0000 0.0000 5.0889
Al W
6 10
Direct
0.0000 0.4041 0.2500
0.0000 0.5959 0.7500
0.4041 0.0000 0.2500
0.4041 0.4041 0.7500
0.5959 0.0000 0.7500
0.5959 0.5959 0.2500
0.0000 0.2235 0.7500
0.0000 0.7765 0.2500
0.2235 0.0000 0.7500
0.2235 0.2235 0.2500
0.3333 0.6667 0.0000
0.3333 0.6667 0.5000
0.6667 0.3333 0.0000
0.6667 0.3333 0.5000
0.7765 0.0000 0.2500
0.7765 0.7765 0.7500
```

Diffraction record for Al4W. The XRD peak list is simulated, not measured: it uses a DFT-relaxed cell (GGA-PBE, Alexandria) and Cu Kα X-rays.

Most intense lines, 2θ from 5° to 70°, by angle:
| d [Å] | 2θ/deg | intensity |
| --- | --- | --- |
| 5.154 | 17.20 | 25 |
| 3.919 | 22.69 | 100 |
| 3.371 | 26.44 | 43 |
| 2.938 | 30.43 | 25 |
| 2.245 | 40.17 | 28 |
| 2.230 | 40.45 | 54 |
| 2.181 | 41.40 | 34 |
| 2.150 | 42.03 | 28 |

Structure:
```
Al4W
1.0
2.6386 -8.9118 0.0000
2.6386 8.9118 0.0000
-0.9083 0.0000 5.1540
Al W
12 3
Direct
0.0000 0.0000 0.0000
0.0897 0.8419 0.7065
0.2133 0.4507 0.2987
0.2252 0.6948 0.9296
0.3728 0.8729 0.4414
0.4103 0.5642 0.8259
0.4507 0.2133 0.2987
0.5642 0.4103 0.8259
0.6410 0.6410 0.3590
0.6948 0.2252 0.9296
0.8419 0.0897 0.7065
0.8729 0.3728 0.4414
0.1549 0.1549 0.5202
0.6805 0.9535 0.1829
0.9535 0.6805 0.1829
```

Diffraction record for Al3W2. The XRD peak list is simulated, not measured: it uses a DFT-relaxed cell (GGA-PBE, Alexandria) and Cu Kα X-rays.

Most intense lines, 2θ from 5° to 70°, by angle:
| d [Å] | 2θ/deg | intensity |
| --- | --- | --- |
| 3.885 | 22.89 | 100 |
| 3.126 | 28.55 | 50 |
| 2.362 | 38.10 | 35 |
| 2.306 | 39.07 | 77 |
| 2.280 | 39.53 | 51 |
| 2.151 | 42.00 | 60 |
| 1.897 | 47.94 | 39 |
| 1.640 | 56.08 | 27 |

Structure:
```
Al3W2
1.0
0.0000 6.8273 2.4159
4.7239 0.0000 2.4159
4.7239 6.8273 0.0000
Al W
6 4
Direct
0.0000 0.0000 0.0000
0.2500 0.2500 0.2500
0.3821 0.6388 0.4175
0.6388 0.3821 0.5615
0.6885 0.8325 0.6112
0.8325 0.6885 0.8679
0.0925 0.4697 0.0010
0.2490 0.8133 0.1575
0.4697 0.0925 0.4367
0.8133 0.2490 0.7803
```

Diffraction record for Al2W3. The XRD peak list is simulated, not measured: it uses a DFT-relaxed cell (GGA-PBE, Alexandria) and Cu Kα X-rays.

Most intense lines, 2θ from 5° to 70°, by angle:
| d [Å] | 2θ/deg | intensity |
| --- | --- | --- |
| 11.592 | 7.63 | 30 |
| 5.796 | 15.29 | 48 |
| 3.864 | 23.02 | 28 |
| 2.318 | 38.84 | 34 |
| 2.301 | 39.15 | 100 |
| 1.996 | 45.43 | 65 |
| 1.416 | 65.99 | 21 |
| 1.408 | 66.41 | 21 |

Structure:
```
Al2W3
1.0
1.4077 0.8127 11.5919
-1.4077 0.8127 11.5919
0.0000 -1.6254 11.5919
Al W
2 3
Direct
0.1008 0.1008 0.1008
0.8992 0.8992 0.8992
0.2984 0.2984 0.2984
0.5000 0.5000 0.5000
0.7016 0.7016 0.7016
```

Diffraction record for Al13W2. The XRD peak list is simulated, not measured: it uses a DFT-relaxed cell (GGA-PBE, Alexandria) and Cu Kα X-rays.

Most intense lines, 2θ from 5° to 70°, by angle:
| d [Å] | 2θ/deg | intensity |
| --- | --- | --- |
| 6.361 | 13.92 | 62 |
| 4.314 | 20.59 | 65 |
| 4.292 | 20.69 | 66 |
| 4.083 | 21.77 | 58 |
| 2.582 | 34.74 | 63 |
| 2.295 | 39.26 | 100 |
| 2.185 | 41.32 | 58 |
| 2.108 | 42.91 | 62 |

Structure:
```
Al13W2
1.0
5.3803 0.0000 0.0000
-0.5547 7.1474 0.0000
-0.3288 -3.4651 6.3609
Al W
13 2
Direct
0.0000 0.0000 0.0000
0.0700 0.8760 0.3097
0.0817 0.4845 0.6773
0.2510 0.4673 0.0262
0.3303 0.3422 0.3399
0.4359 0.1924 0.6328
0.4360 0.8347 0.0203
0.5640 0.1653 0.9797
0.5641 0.8076 0.3672
0.6697 0.6578 0.6601
0.7490 0.5327 0.9738
0.9183 0.5155 0.3227
0.9300 0.1240 0.6903
0.2426 0.8287 0.6541
0.7574 0.1713 0.3459
```

Diffraction record for YAlW4. The XRD peak list is simulated, not measured: it uses a DFT-relaxed cell (GGA-PBE, Alexandria) and Cu Kα X-rays.

Most intense lines, 2θ from 5° to 70°, by angle:
| d [Å] | 2θ/deg | intensity |
| --- | --- | --- |
| 4.420 | 20.09 | 70 |
| 2.707 | 33.10 | 5 |
| 2.308 | 39.02 | 100 |
| 2.210 | 40.83 | 78 |
| 1.914 | 47.51 | 27 |
| 1.756 | 52.07 | 18 |
| 1.473 | 63.10 | 33 |
| 1.353 | 69.45 | 33 |

Structure:
```
YAlW4
1.0
0.0000 3.8279 3.8279
3.8279 0.0000 3.8279
3.8279 3.8279 0.0000
Y Al W
1 1 4
Direct
0.0000 0.0000 0.0000
0.7500 0.7500 0.7500
0.3755 0.3755 0.3755
0.3755 0.3755 0.8734
0.3755 0.8734 0.3755
0.8734 0.3755 0.3755
```